Simulated powder diffractogram
Compound: Sc2TlCu3S5
Radiation: Cu Kα (weighted mean of Kα1 and Kα2)
Structure: DFT lattice parameters and positions (GGA-PBE)

Structure:
```
Sc2TlCu3S5
1.0
1.904 -6.858 0.000
1.904 6.858 0.000
0.000 0.000 15.762
Sc Tl Cu S
4 2 6 10
Direct
0.192 0.808 0.594 Sc
0.192 0.808 0.906 Sc
0.808 0.192 0.094 Sc
0.808 0.192 0.406 Sc
0.068 0.932 0.250 Tl
0.932 0.068 0.750 Tl
0.354 0.646 0.250 Cu
0.416 0.584 0.540 Cu
0.416 0.584 0.960 Cu
0.584 0.416 0.040 Cu
0.584 0.416 0.460 Cu
0.646 0.354 0.750 Cu
0.174 0.826 0.070 S
0.174 0.826 0.430 S
0.242 0.758 0.750 S
0.435 0.565 0.113 S
0.435 0.565 0.387 S
0.565 0.435 0.613 S
0.565 0.435 0.887 S
0.758 0.242 0.250 S
0.826 0.174 0.570 S
0.826 0.174 0.930 S
```

Top 12 peaks for 2θ = 15–90°, low angle first:
2θ 22.6, I 32
2θ 26.6, I 48
2θ 26.8, I 77
2θ 31.1, I 100
2θ 31.2, I 33
2θ 32.6, I 34
2θ 34.1, I 45
2θ 35.1, I 53
2θ 38.8, I 35
2θ 42.2, I 36
2θ 47.8, I 34
2θ 51.2, I 60

***

Simulated powder diffractogram
Compound: Cu6SeS2
Radiation: Cu Kα (weighted mean of Kα1 and Kα2)
Structure: DFT lattice parameters and positions (GGA-PBE)

Structure:
```
Cu6SeS2
1.0
6.009 -2.056 0.000
6.009 2.056 0.000
-3.530 0.000 6.587
Cu Se S
6 1 2
Direct
0.018 0.018 0.331 Cu
0.378 0.378 0.444 Cu
0.393 0.393 0.814 Cu
0.607 0.607 0.186 Cu
0.622 0.622 0.556 Cu
0.982 0.982 0.669 Cu
0.000 0.000 0.000 Se
0.180 0.180 0.666 S
0.820 0.820 0.334 S
```

Top 12 peaks for 2θ = 15–90°, low angle first:
2θ 15.8, I 27
2θ 16.7, I 97
2θ 24.2, I 47
2θ 29.8, I 41
2θ 33.5, I 76
2θ 39.0, I 36
2θ 43.9, I 100
2θ 44.0, I 61
2θ 48.3, I 69
2θ 48.6, I 33
2θ 60.3, I 25
2θ 67.6, I 23

***

Simulated powder diffractogram
Compound: Cu3Se2S
Radiation: Cu Kα (weighted mean of Kα1 and Kα2)
Structure: DFT lattice parameters and positions (GGA-PBE)

Structure:
```
Cu3Se2S
1.0
3.303 -5.721 0.000
3.303 5.721 0.000
-2.208 0.000 6.246
Cu Se S
6 4 2
Direct
0.075 0.925 0.500 Cu
0.236 0.754 0.982 Cu
0.387 0.555 0.484 Cu
0.555 0.387 0.984 Cu
0.754 0.236 0.482 Cu
0.925 0.075 0.000 Cu
0.361 0.864 0.363 Se
0.532 0.698 0.865 Se
0.698 0.532 0.365 Se
0.864 0.361 0.863 Se
0.030 0.193 0.359 S
0.193 0.030 0.859 S
```

Top 12 peaks for 2θ = 15–90°, low angle first:
2θ 28.6, I 100
2θ 47.6, I 35
2θ 47.7, I 34
2θ 56.4, I 4
2θ 56.5, I 26
2θ 56.6, I 10
2θ 69.7, I 10
2θ 76.8, I 4
2θ 77.0, I 4
2θ 77.1, I 7
2θ 88.6, I 5
2θ 88.8, I 12

***

Simulated powder diffractogram
Compound: Cu4SeS2
Radiation: Cu Kα (weighted mean of Kα1 and Kα2)
Structure: DFT lattice parameters and positions (GGA-PBE)

Structure:
```
Cu4SeS2
1.0
5.703 0.000 0.000
0.000 5.703 0.000
0.000 0.000 5.039
Cu Se S
4 1 2
Direct
0.205 0.205 0.337 Cu
0.205 0.795 0.663 Cu
0.795 0.205 0.663 Cu
0.795 0.795 0.337 Cu
0.000 0.000 0.000 Se
0.000 0.500 0.500 S
0.500 0.000 0.500 S
```

Top 12 peaks for 2θ = 15–90°, low angle first:
2θ 15.5, I 78
2θ 17.6, I 22
2θ 28.3, I 100
2θ 36.2, I 14
2θ 39.6, I 33
2θ 42.3, I 26
2θ 45.0, I 24
2θ 48.2, I 21
2θ 50.9, I 16
2θ 54.0, I 25
2θ 58.3, I 12
2θ 84.0, I 13

***

Simulated powder diffractogram
Compound: CuSeS
Radiation: Cu Kα (weighted mean of Kα1 and Kα2)
Structure: DFT lattice parameters and positions (GGA-PBE)

Structure:
```
CuSeS
1.0
5.994 0.000 0.000
0.000 5.994 0.000
0.000 0.000 5.994
Cu Se S
4 4 4
Direct
0.013 0.013 0.013 Cu
0.487 0.987 0.513 Cu
0.513 0.487 0.987 Cu
0.987 0.513 0.487 Cu
0.109 0.609 0.891 Se
0.391 0.391 0.391 Se
0.609 0.891 0.109 Se
0.891 0.109 0.609 Se
0.104 0.896 0.396 S
0.396 0.104 0.896 S
0.604 0.604 0.604 S
0.896 0.396 0.104 S
```

Top 12 peaks for 2θ = 15–90°, low angle first:
2θ 21.0, I 13
2θ 29.8, I 87
2θ 33.4, I 100
2θ 36.7, I 68
2θ 42.7, I 39
2θ 50.5, I 86
2θ 52.9, I 17
2θ 55.3, I 31
2θ 57.5, I 43
2θ 72.2, I 15
2θ 83.9, I 36
2θ 87.7, I 20

***

Simulated powder diffractogram
Compound: Cu6Se4S
Radiation: Cu Kα (weighted mean of Kα1 and Kα2)
Structure: DFT lattice parameters and positions (GGA-PBE)

Structure:
```
Cu6Se4S
1.0
6.095 -3.157 0.000
6.095 3.157 0.000
-3.911 0.000 10.890
Cu Se S
12 8 2
Direct
0.006 0.994 0.500 Cu
0.016 0.519 0.649 Cu
0.263 0.686 0.827 Cu
0.295 0.984 0.358 Cu
0.377 0.562 0.580 Cu
0.519 0.016 0.149 Cu
0.555 0.996 0.717 Cu
0.562 0.377 0.080 Cu
0.686 0.263 0.327 Cu
0.984 0.295 0.858 Cu
0.994 0.006 0.000 Cu
0.996 0.555 0.217 Cu
0.219 0.353 0.051 Se
0.233 0.945 0.711 Se
0.284 0.646 0.359 Se
0.353 0.219 0.551 Se
0.646 0.284 0.859 Se
0.705 0.889 0.340 Se
0.889 0.705 0.840 Se
0.945 0.233 0.211 Se
0.401 0.757 0.036 S
0.757 0.401 0.536 S
```

Top 12 peaks for 2θ = 15–90°, low angle first:
2θ 20.9, I 47
2θ 26.1, I 55
2θ 27.1, I 63
2θ 27.5, I 100
2θ 31.2, I 72
2θ 32.8, I 68
2θ 33.9, I 59
2θ 47.3, I 76
2θ 47.6, I 54
2θ 48.8, I 56
2θ 49.4, I 54
2θ 50.3, I 48

***

Simulated powder diffractogram
Compound: Cu8Se3S3
Radiation: Cu Kα (weighted mean of Kα1 and Kα2)
Structure: DFT lattice parameters and positions (GGA-PBE)

Structure:
```
Cu8Se3S3
1.0
3.512 2.027 5.838
-3.512 2.027 5.838
0.000 -4.055 5.838
Cu Se S
8 3 3
Direct
0.235 0.235 0.764 Cu
0.235 0.764 0.235 Cu
0.236 0.765 0.765 Cu
0.249 0.249 0.249 Cu
0.751 0.751 0.751 Cu
0.764 0.235 0.235 Cu
0.765 0.236 0.765 Cu
0.765 0.765 0.236 Cu
0.000 0.000 0.500 Se
0.000 0.500 0.000 Se
0.500 0.000 0.000 Se
0.000 0.000 0.000 S
0.376 0.376 0.376 S
0.624 0.624 0.624 S
```

Top 12 peaks for 2θ = 15–90°, low angle first:
2θ 15.4, I 16
2θ 29.7, I 12
2θ 29.8, I 21
2θ 31.1, I 20
2θ 36.0, I 100
2θ 47.3, I 10
2θ 51.4, I 46
2θ 52.1, I 44
2θ 64.9, I 16
2θ 76.2, I 13
2θ 86.8, I 13
2θ 87.8, I 13

***

Simulated powder diffractogram
Compound: CuSeS
Radiation: Cu Kα (weighted mean of Kα1 and Kα2)
Structure: DFT lattice parameters and positions (GGA-PBE)

Structure:
```
CuSeS
1.0
4.065 0.000 0.000
1.795 4.609 0.000
0.350 2.434 6.480
Cu Se S
2 2 2
Direct
0.147 0.251 0.298 Cu
0.853 0.749 0.702 Cu
0.122 0.193 0.966 Se
0.878 0.807 0.034 Se
0.404 0.699 0.542 S
0.596 0.301 0.458 S
```

Top 12 peaks for 2θ = 15–90°, low angle first:
2θ 23.6, I 57
2θ 25.0, I 35
2θ 26.3, I 100
2θ 28.0, I 78
2θ 28.6, I 65
2θ 37.0, I 48
2θ 41.9, I 81
2θ 44.8, I 59
2θ 48.1, I 48
2θ 48.8, I 47
2θ 50.4, I 44
2θ 54.1, I 36

***

Simulated powder diffractogram
Compound: ZnCu2SnSe3S
Radiation: Cu Kα (weighted mean of Kα1 and Kα2)
Structure: DFT lattice parameters and positions (GGA-PBE)

Structure:
```
ZnCu2SnSe3S
1.0
4.010 -4.032 0.000
4.010 4.032 0.000
-3.998 0.000 5.690
Zn Cu Sn Se S
1 2 1 3 1
Direct
0.000 0.000 0.000 Zn
0.282 0.753 0.522 Cu
0.753 0.282 0.522 Cu
0.515 0.515 0.007 Sn
0.116 0.116 0.733 Se
0.386 0.906 0.279 Se
0.906 0.386 0.279 Se
0.636 0.636 0.745 S
```

Top 12 peaks for 2θ = 15–90°, low angle first:
2θ 27.1, I 100
2θ 27.2, I 33
2θ 45.0, I 47
2θ 45.1, I 31
2θ 45.2, I 16
2θ 53.4, I 32
2θ 53.5, I 24
2θ 65.7, I 14
2θ 72.3, I 7
2θ 72.4, I 7
2θ 83.0, I 14
2θ 83.4, I 7

***

Simulated powder diffractogram
Compound: ZnCu2SnSe3S
Radiation: Cu Kα (weighted mean of Kα1 and Kα2)
Structure: DFT lattice parameters and positions (GGA-PBE)

Structure:
```
ZnCu2SnSe3S
1.0
5.685 0.000 0.000
-0.014 5.693 0.000
-2.819 -2.842 5.688
Zn Cu Sn Se S
1 2 1 3 1
Direct
0.000 0.000 0.000 Zn
0.473 0.519 0.992 Cu
0.766 0.282 0.520 Cu
0.242 0.758 0.507 Sn
0.387 0.371 0.245 Se
0.635 0.161 0.768 Se
0.844 0.892 0.246 Se
0.116 0.628 0.763 S
```

Top 12 peaks for 2θ = 15–90°, low angle first:
2θ 27.2, I 100
2θ 36.2, I 5
2θ 45.0, I 47
2θ 45.1, I 24
2θ 53.4, I 28
2θ 53.5, I 15
2θ 65.6, I 7
2θ 72.3, I 9
2θ 72.5, I 5
2θ 83.1, I 9
2θ 83.2, I 7
2θ 89.5, I 5

***

Simulated powder diffractogram
Compound: ZnCu2SnSe2S2
Radiation: Cu Kα (weighted mean of Kα1 and Kα2)
Structure: DFT lattice parameters and positions (GGA-PBE)

Structure:
```
ZnCu2SnSe2S2
1.0
0.000 3.982 5.633
3.942 0.000 5.633
3.942 3.982 0.000
Zn Cu Sn Se S
1 2 1 2 2
Direct
0.000 0.000 0.000 Zn
0.228 0.228 0.272 Cu
0.728 0.728 0.772 Cu
0.494 0.494 0.506 Sn
0.095 0.618 0.382 Se
0.618 0.095 0.905 Se
0.370 0.881 0.630 S
0.881 0.370 0.119 S
```

Top 12 peaks for 2θ = 15–90°, low angle first:
2θ 27.4, I 100
2θ 27.6, I 96
2θ 35.8, I 14
2θ 45.6, I 23
2θ 45.7, I 88
2θ 46.0, I 23
2θ 54.1, I 41
2θ 54.4, I 28
2θ 66.8, I 14
2θ 73.3, I 16
2θ 84.3, I 20
2θ 85.0, I 14

***

Simulated powder diffractogram
Compound: Cu4TeSe2S
Radiation: Cu Kα (weighted mean of Kα1 and Kα2)
Structure: DFT lattice parameters and positions (GGA-PBE)

Structure:
```
Cu4TeSe2S
1.0
-2.740 2.740 5.591
2.740 -2.740 5.591
2.740 2.740 -5.591
Cu Te Se S
4 1 2 1
Direct
0.113 0.634 0.972 Cu
0.366 0.338 0.478 Cu
0.662 0.140 0.028 Cu
0.860 0.887 0.522 Cu
0.250 0.750 0.500 Te
0.500 0.500 0.000 Se
0.750 0.250 0.500 Se
0.000 0.000 0.000 S
```

Top 12 peaks for 2θ = 15–90°, low angle first:
2θ 28.0, I 100
2θ 36.5, I 5
2θ 37.6, I 5
2θ 46.4, I 46
2θ 46.9, I 23
2θ 54.6, I 13
2θ 55.5, I 27
2θ 68.5, I 7
2θ 74.8, I 10
2θ 75.6, I 5
2θ 85.7, I 6
2θ 86.8, I 13

***

Simulated powder diffractogram
Compound: TlCuSe2S4
Radiation: Cu Kα (weighted mean of Kα1 and Kα2)
Structure: DFT lattice parameters and positions (GGA-PBE)

Structure:
```
TlCuSe2S4
1.0
-3.301 3.307 4.065
3.301 -3.307 4.065
3.301 3.307 -4.065
Tl Cu Se S
1 1 2 4
Direct
0.000 0.000 0.000 Tl
0.500 0.500 0.000 Cu
0.249 0.749 0.500 Se
0.751 0.251 0.500 Se
0.138 0.545 0.001 S
0.456 0.455 0.593 S
0.544 0.137 0.999 S
0.862 0.863 0.407 S
```

Top 12 peaks for 2θ = 15–90°, low angle first:
2θ 17.3, I 20
2θ 19.0, I 10
2θ 27.0, I 31
2θ 29.1, I 100
2θ 32.2, I 20
2θ 38.5, I 33
2θ 49.0, I 48
2θ 52.9, I 24
2θ 60.4, I 9
2θ 62.9, I 9
2θ 64.0, I 9
2θ 80.3, I 12